Calculated XRD peak list of Ba4HO for Cu Kα, 1.54184 Å, from a crystal structure in Alexandria, relaxed with PBE.
Peak positions follow from Bragg's law for the DFT cell and can differ from measured ones.

a b c (Å): 10.1239 10.5691 9.4448
angles (deg): 90.00 90.00 90.00
Space group Cmcm (No. 63)
Asymmetric unit:
Ba 0.0000 0.2077 0.0255
Ba 0.2064 0.4749 0.2500
H 0.0000 0.0082 0.2500
O 0.0000 0.3373 0.2500

Most intense lines, 15 to 90 degrees two-theta, in order of falling intensity:
two_theta  I/Imax  hkl
24.35  100  2 2 0
25.29  96  0 2 2
25.80  90  2 0 2
41.71  32  3 3 2
45.75  29  2 2 4
22.41  25  1 1 2


Calculated XRD peak list of PrGaHIr for Cu Kα, 1.54184 Å, from a crystal structure in Alexandria, relaxed with PBE.
Peak positions follow from Bragg's law for the DFT cell and can differ from measured ones.

a b c (Å): 4.2336 4.2336 7.5392
angles (deg): 90.00 90.00 90.00
Space group P4/nmm (No. 129, origin choice 2)
Asymmetric unit:
Pr 0.2500 0.2500 0.1656
Ga 0.2500 0.2500 0.6790
H 0.2500 0.7500 0.0000
Ir 0.2500 0.7500 0.5000

Most intense lines, 15 to 90 degrees two-theta, in order of falling intensity:
two_theta  I/Imax  hkl
38.40  100  1 1 2
32.17  89  1 1 1
42.72  65  2 0 0
31.78  59  1 0 2
75.33  28  3 1 2
57.81  26  1 1 4


Calculated XRD peak list of Mg12Cd3Pt for Cu Kα, 1.54184 Å, from a crystal structure in Alexandria, relaxed with PBE.
Peak positions follow from Bragg's law for the DFT cell and can differ from measured ones.

a b c (Å): 4.3423 4.3423 17.7946
angles (deg): 90.00 90.00 90.00
Space group P4/mmm (No. 123)
Asymmetric unit:
Mg 0.0000 0.0000 0.0000
Mg 0.0000 0.0000 0.2408
Mg 0.0000 0.0000 0.5000
Mg 0.0000 0.5000 0.1094
Mg 0.0000 0.5000 0.3713
Cd 0.5000 0.5000 0.2425
Cd 0.5000 0.5000 0.5000
Pt 0.5000 0.5000 0.0000

Most intense lines, 15 to 90 degrees two-theta, in order of falling intensity:
two_theta  I/Imax  hkl
35.52  100  1 1 4
20.45  54  1 0 0
28.73  47  1 0 4
41.60  33  2 0 0
19.96  29  0 0 4
71.97  24  3 1 4


Calculated XRD peak list of HfSeI for Cu Kα, 1.54184 Å, from a crystal structure in Alexandria, relaxed with PBE.
Peak positions follow from Bragg's law for the DFT cell and can differ from measured ones.

a b c (Å): 3.8531 5.2532 9.8565
angles (deg): 90.00 100.85 90.00
Space group P2_1/m (No. 11)
Asymmetric unit:
Hf 0.2104 0.2500 0.4177
Se 0.1949 0.7500 0.3856
I 0.4000 0.7500 0.8114

Most intense lines, 15 to 90 degrees two-theta, in order of falling intensity:
two_theta  I/Imax  hkl
19.22  100  0 1 1
32.67  81  1 0 2
32.91  79  1 0 -3
34.14  76  0 2 0
48.14  61  1 2 -3
31.89  55  1 1 1


- Which formula does entry 3 have?
  Mg12Cd3Pt